Starting from DFT lattice parameters and positions (GGA-PBE), the powder diffraction line list of Ce2ErTh2 was calculated for CuKα.

Structural model:
abc: 3.4948 3.4948 42.4395
angles: 90.00 90.00 120.00
Space group R-3m (No. 166, hexagonal axes)
Asymmetric unit:
Ce: 0.0000 0.0000 0.1990
Er: 0.0000 0.0000 0.0000
Th: 0.0000 0.0000 0.4018

The 10 most intense peaks (2θ = 10–90°), in order of rising 2θ:
2θ (°)  d [Å]  Rel. int.
31.38  2.851  100
31.62  2.829  32
36.46  2.464  67
52.36  1.747  24
52.68  1.737  23
62.32  1.490  14
62.47  1.487  28
62.76  1.481  13
65.48  1.425  12
85.69  1.134  12

Starting from DFT lattice parameters and positions (GGA-PBE), the powder diffraction line list of CeErTh4 was calculated for CuKα.

Structural model:
abc: 6.0878 10.6232 6.0961
angles: 90.00 108.64 90.00
Space group C2/m (No. 12)
Asymmetric unit:
Ce: 0.0000 0.0000 0.0000
Er: 0.0000 0.5000 0.5000
Th: 0.0000 0.1663 0.5000
Th: 0.0000 0.3339 0.0000

The 10 most intense peaks (2θ = 10–90°), in order of rising 2θ:
2θ (°)  d [Å]  Rel. int.
31.02  2.883  100
35.80  2.508  34
36.31  2.474  17
51.91  1.761  24
61.31  1.512  15
61.44  1.509  15
62.05  1.496  14
64.58  1.443  6
64.74  1.440  6
84.83  1.143  9